Structure and calculated powder X-ray diffraction pattern of Sn3BrF5 (a cell relaxed with PBE; λ = 1.5418 Å (Cu Kα)).

Top 6 peaks for 10° ≤ 2θ ≤ 90°, by intensity:
28.4 deg, d = 3.147 Å, intensity 100, (1 2 -3)
27.5 deg, d = 3.249 Å, intensity 43, (0 0 4)
27.6 deg, d = 3.228 Å, intensity 42, (0 4 0)
24.8 deg, d = 3.595 Å, intensity 34, (1 2 -1)
49.1 deg, d = 1.855 Å, intensity 19, (1 2 -7)
39.3 deg, d = 2.290 Å, intensity 16, (0 4 4)

Atomic structure:
a = 4.3311 Å, b = 12.9127 Å, c = 13.6908 Å
α = 90.00°, β = 108.34°, γ = 90.00°
Fractional coordinates of all 36 atoms:
1 Sn 0.1637 0.1019 0.1022
2 Sn 0.1637 0.3981 0.6022
3 Sn 0.2081 0.6250 0.8444
4 Sn 0.2081 0.8750 0.3444
5 Sn 0.2125 0.6574 0.1321
6 Sn 0.2125 0.8426 0.6321
7 Sn 0.7875 0.1574 0.3679
8 Sn 0.7875 0.3426 0.8679
9 Sn 0.7919 0.1250 0.6556
10 Sn 0.7919 0.3750 0.1556
11 Sn 0.8363 0.6019 0.3978
12 Sn 0.8363 0.8981 0.8978
13 Br 0.3890 0.1243 0.8772
14 Br 0.3890 0.3757 0.3772
15 Br 0.6110 0.6243 0.6228
16 Br 0.6110 0.8757 0.1228
17 F 0.1236 0.0109 0.6241
18 F 0.1236 0.2268 0.6046
19 F 0.1236 0.2732 0.1046
20 F 0.1236 0.4891 0.1241
21 F 0.3026 0.1002 0.2735
22 F 0.3026 0.3998 0.7735
23 F 0.3253 0.6533 0.3423
24 F 0.3253 0.8467 0.8423
25 F 0.4370 0.6208 0.0122
26 F 0.4370 0.8792 0.5122
27 F 0.5630 0.1208 0.4878
28 F 0.5630 0.3792 0.9878
29 F 0.6747 0.1533 0.1577
30 F 0.6747 0.3467 0.6577
31 F 0.6974 0.6002 0.2265
32 F 0.6974 0.8998 0.7265
33 F 0.8764 0.5109 0.8759
34 F 0.8764 0.7268 0.8954
35 F 0.8764 0.7732 0.3954
36 F 0.8764 0.9891 0.3759